# 1
Starting from the GGA-PBE geometry in Alexandria, the powder diffraction line list of PmSeS was simulated for a wavelength of 1.5418 Å.
No peak broadening, texture or thermal motion is included.

Structural model:
a b c (Å): 4.034 4.034 16.821
angles (deg): 90.00 90.00 90.00
Fractional positions:
Pm: 0.000 0.000 0.145
Pm: 0.000 0.000 0.855
Pm: 0.500 0.500 0.355
Pm: 0.500 0.500 0.645
Se: 0.000 0.500 0.000
Se: 0.000 0.500 0.500
Se: 0.500 0.000 0.000
Se: 0.500 0.000 0.500
S: 0.000 0.000 0.316
S: 0.000 0.000 0.684
S: 0.500 0.500 0.184
S: 0.500 0.500 0.816

Top 10 peaks for 10° ≤ 2θ ≤ 90°, by angle:
2theta	I (rel.)
22.67	50
27.24	58
31.92	40
33.17	65
38.12	100
43.85	36
44.95	47
56.18	31
64.60	23
78.33	24

=====

# 2
Starting from the GGA-PBE geometry in Alexandria, the powder diffraction line list of Na3YC3O9 was simulated for a wavelength of 1.5418 Å.
No peak broadening, texture or thermal motion is included.

Structural model:
a b c (Å): 9.972 6.574 6.574
angles (deg): 113.95 90.00 90.00
Fractional positions:
Na: 0.000 0.000 0.000
Na: 0.250 0.701 0.660
Na: 0.250 0.866 0.270
Na: 0.500 0.000 0.000
Na: 0.750 0.270 0.866
Na: 0.750 0.660 0.701
Y: 0.250 0.299 0.842
Y: 0.750 0.842 0.299
C: 0.002 0.536 0.949
C: 0.250 0.311 0.283
C: 0.498 0.536 0.949
C: 0.502 0.949 0.536
C: 0.750 0.283 0.311
C: 0.998 0.949 0.536
O: 0.014 0.346 0.961
O: 0.110 0.624 0.905
O: 0.113 0.973 0.634
O: 0.250 0.124 0.099
O: 0.250 0.305 0.476
O: 0.250 0.495 0.256
O: 0.387 0.973 0.634
O: 0.390 0.624 0.905
O: 0.486 0.346 0.961
O: 0.514 0.961 0.346
O: 0.610 0.905 0.624
O: 0.613 0.634 0.973
O: 0.750 0.099 0.124
O: 0.750 0.256 0.495
O: 0.750 0.476 0.305
O: 0.887 0.634 0.973
O: 0.890 0.905 0.624
O: 0.986 0.961 0.346

Top 10 peaks for 10° ≤ 2θ ≤ 90°, by angle:
2theta	I (rel.)
16.08	51
17.23	100
17.79	53
30.73	32
34.87	71
36.03	34
38.60	24
41.33	26
44.26	24
45.31	33